# 1
The following is a calculated powder X-ray diffraction pattern of CsCaF3. It was derived from DFT lattice parameters and positions (GGA-PBE), using CuKα.

Structural model:
Cell lengths 4.5819, 4.5819, 4.5819 Å; angles 90.00, 90.00, 90.00 degrees
Space group Pm-3m (No. 221)
Asymmetric unit:
Cs  0.0000  0.0000  0.0000 x1
Ca  0.5000  0.5000  0.5000 x1
F  0.0000  0.5000  0.5000 x3

Peak list (6 most intense, 2θ from 10° to 90°, by intensity)
2θ/deg, d_spacing, I (rel.)
27.53, 3.240, 1000
39.33, 2.291, 432
48.68, 1.871, 408
33.89, 2.645, 359
56.83, 1.620, 269
19.37, 4.582, 212

# 2
The following is a calculated powder X-ray diffraction pattern of Cs2TaCuCl6. It was derived from DFT lattice parameters and positions (GGA-PBE), using CuKα.

Structural model:
Cell lengths 10.2572, 10.2572, 10.2572 Å; angles 90.00, 90.00, 90.00 degrees
Space group Fm-3m (No. 225)
Asymmetric unit:
Cs  0.2500  0.2500  0.2500 x8
Ta  0.0000  0.0000  0.0000 x4
Cu  0.0000  0.0000  0.5000 x4
Cl  0.0000  0.0000  0.2454 x24

Peak list (6 most intense, 2θ from 10° to 90°, by intensity)
2θ/deg, d_spacing, I (rel.)
24.55, 3.626, 1000
34.99, 2.564, 554
43.21, 2.094, 453
50.32, 1.813, 374
68.45, 1.371, 236
56.76, 1.622, 206

# 3
The following is a calculated powder X-ray diffraction pattern of Na3Pt12O16. It was derived from DFT lattice parameters and positions (GGA-PBE), using CuKα.

Structural model:
Cell lengths 11.4899, 11.4899, 11.4899 Å; angles 90.00, 90.00, 90.00 degrees
Space group Fm-3 (No. 202)
Asymmetric unit:
Na  0.0000  0.0000  0.0000 x4
Na  0.2500  0.2500  0.2500 x8
Pt  0.0000  0.2485  0.3763 x48
O  0.1245  0.1245  0.1245 x32
O  0.1294  0.1294  0.3706 x32

Peak list (6 most intense, 2θ from 10° to 90°, by intensity)
2θ/deg, d_spacing, I (rel.)
34.92, 2.569, 1000
21.88, 4.062, 328
57.87, 1.593, 239
38.38, 2.345, 232
55.40, 1.658, 231
75.89, 1.254, 217

Repeat the second record exactly.
The following is a calculated powder X-ray diffraction pattern of Cs2TaCuCl6. It was derived from DFT lattice parameters and positions (GGA-PBE), using CuKα.

Structural model:
Cell lengths 10.2572, 10.2572, 10.2572 Å; angles 90.00, 90.00, 90.00 degrees
Space group Fm-3m (No. 225)
Asymmetric unit:
Cs  0.2500  0.2500  0.2500 x8
Ta  0.0000  0.0000  0.0000 x4
Cu  0.0000  0.0000  0.5000 x4
Cl  0.0000  0.0000  0.2454 x24

Peak list (6 most intense, 2θ from 10° to 90°, by intensity)
2θ/deg, d_spacing, I (rel.)
24.55, 3.626, 1000
34.99, 2.564, 554
43.21, 2.094, 453
50.32, 1.813, 374
68.45, 1.371, 236
56.76, 1.622, 206

Q: What is the formula in the third record?
A: Na3Pt12O16